For WSeBr2F, a structure optimized by DFT (PBE+U) gives the computed X-ray powder pattern in this record (Cu Kα, 1.54184 Å).
No peak broadening, texture or thermal motion is included.

Structure:
a = 5.2444 Å, b = 5.2444 Å, c = 5.0443 Å
α = 90.00°, β = 90.00°, γ = 90.00°
Fractional positions:
W  0.0000  0.0000  0.0000
Se  0.0000  0.0000  0.5000
Br  0.0000  0.5000  0.0000
Br  0.5000  0.0000  0.0000
F  0.5000  0.5000  0.5000

The 10 most intense peaks (5 to 70 degrees two-theta), low angle first:
d/Å  I/Imax  (hkl)
5.244  100  1 0 0
5.044  48  0 0 1
3.636  21  1 0 1
2.622  61  2 0 0
2.522  27  0 0 2
2.345  26  2 1 0
2.327  27  2 0 1
2.273  24  1 0 2
1.854  22  2 2 0
1.818  40  2 0 2